[1]
This entry pairs a crystal structure of NiHgBPC with its calculated PXRD pattern. Radiation: copper Kα. Structure: the PBE geometry in Alexandria.
Neutral-atom scattering factors, no anomalous dispersion.

Largest 10 diffraction maxima, in order of rising 2θ, 2θ = 10–90°:
- hkl 0 0 1, 2θ 11.14, intensity 100
- hkl 0 0 2, 2θ 22.39, intensity 15
- hkl 1 0 0, 2θ 33.43, intensity 38
- hkl 0 0 3, 2θ 33.86, intensity 25
- hkl 1 0 1, 2θ 35.34, intensity 81
- hkl 0 1 2, 2θ 40.61, intensity 60
- hkl 0 1 3, 2θ 48.32, intensity 35
- hkl 1 0 4, 2θ 57.79, intensity 16
- hkl 1 1 0, 2θ 59.75, intensity 18
- hkl 1 1 3, 2θ 70.48, intensity 18

Structure:
Cell lengths 3.0952, 3.0952, 7.9422 Å; angles 90.00, 90.00, 120.00 degrees
Space group P3m1 (No. 156)
Unique sites:
Ni 0.0000 0.0000 0.0000 [1 per cell]
Hg 0.3333 0.6667 0.7181 [1 per cell]
B 0.6667 0.3333 0.3022 [1 per cell]
P 0.3333 0.6667 0.3903 [1 per cell]
C 0.6667 0.3333 0.1037 [1 per cell]

=====

[2]
This entry pairs a crystal structure of Ho4CdGa with its calculated PXRD pattern. Radiation: copper Kα. Structure: the PBE geometry in Alexandria.
Neutral-atom scattering factors, no anomalous dispersion.

Largest 10 diffraction maxima, in order of rising 2θ, 2θ = 10–90°:
- hkl 1 0 1, 2θ 21.67, intensity 18
- hkl 0 0 2, 2θ 24.57, intensity 19
- hkl 1 1 0, 2θ 25.31, intensity 37
- hkl 1 1 2, 2θ 35.57, intensity 100
- hkl 2 0 0, 2θ 36.10, intensity 48
- hkl 2 0 2, 2θ 44.16, intensity 17
- hkl 2 2 0, 2θ 51.98, intensity 17
- hkl 2 0 4, 2θ 63.53, intensity 18
- hkl 3 1 2, 2θ 64.57, intensity 35
- hkl 2 2 4, 2θ 75.30, intensity 11

Structure:
Cell lengths 4.976, 4.976, 7.246 Å; angles 90.00, 90.00, 90.00 degrees
Space group P4/mmm (No. 123)
Unique sites:
Ho 0.000 0.500 0.242 [4 per cell]
Cd 0.000 0.000 0.500 [1 per cell]
Ga 0.500 0.500 0.000 [1 per cell]

=====

[3]
This entry pairs a crystal structure of Sm3Tm6Sc2 with its calculated PXRD pattern. Radiation: copper Kα. Structure: the PBE geometry in Alexandria.
Neutral-atom scattering factors, no anomalous dispersion.

Largest 10 diffraction maxima, in order of rising 2θ, 2θ = 10–90°:
- hkl 1 0 10, 2θ 30.22, intensity 32
- hkl 0 1 11, 2θ 32.17, intensity 73
- hkl 1 1 0, 2θ 32.40, intensity 100
- hkl 2 0 11, 2θ 46.31, intensity 27
- hkl 2 1 10, 2θ 56.45, intensity 11
- hkl 1 2 11, 2θ 57.65, intensity 28
- hkl 3 0 0, 2θ 57.80, intensity 19
- hkl 1 1 21, 2θ 61.71, intensity 23
- hkl 2 2 0, 2θ 67.84, intensity 12
- hkl 3 1 11, 2θ 77.07, intensity 12

Structure:
Cell lengths 5.5260, 5.5260, 37.6234 Å; angles 90.00, 90.00, 120.00 degrees
Space group R-3m (No. 166, hexagonal axes)
Unique sites:
Sm 0.0000 0.0000 0.0000 [3 per cell]
Sm 0.0000 0.0000 0.2821 [6 per cell]
Tm 0.0000 0.0000 0.0941 [6 per cell]
Tm 0.0000 0.0000 0.1869 [6 per cell]
Tm 0.0000 0.0000 0.3773 [6 per cell]
Sc 0.0000 0.0000 0.4613 [6 per cell]

=====

[4]
This entry pairs a crystal structure of LiNdGa6 with its calculated PXRD pattern. Radiation: copper Kα. Structure: the PBE geometry in Alexandria.
Neutral-atom scattering factors, no anomalous dispersion.

Largest 10 diffraction maxima, in order of rising 2θ, 2θ = 10–90°:
- hkl 1 0 1, 2θ 26.13, intensity 12
- hkl 1 1 1, 2θ 29.54, intensity 30
- hkl 0 2 1, 2θ 32.00, intensity 26
- hkl 0 0 2, 2θ 33.20, intensity 18
- hkl 1 2 1, 2θ 38.13, intensity 100
- hkl 1 0 2, 2θ 39.16, intensity 38
- hkl 2 0 0, 2θ 41.04, intensity 29
- hkl 2 2 1, 2θ 52.97, intensity 12
- hkl 0 2 3, 2θ 58.56, intensity 11
- hkl 3 2 1, 2θ 72.83, intensity 14

Structure:
Cell lengths 4.399, 6.539, 5.397 Å; angles 90.00, 90.00, 90.00 degrees
Space group Pmm2 (No. 25)
Unique sites:
Li 0.000 0.000 0.000 [1 per cell]
Nd 0.500 0.500 0.710 [1 per cell]
Ga 0.000 0.204 0.514 [2 per cell]
Ga 0.000 0.500 0.144 [1 per cell]
Ga 0.500 0.000 0.704 [1 per cell]
Ga 0.500 0.219 0.195 [2 per cell]

=====

[5]
This entry pairs a crystal structure of Tm2Zr2O7 with its calculated PXRD pattern. Radiation: copper Kα. Structure: the PBE geometry in Alexandria.
Neutral-atom scattering factors, no anomalous dispersion.

Largest 10 diffraction maxima, in order of rising 2θ, 2θ = 10–90°:
- hkl 1 1 1, 2θ 14.61, intensity 9
- hkl 2 2 2, 2θ 29.46, intensity 100
- hkl 4 0 0, 2θ 34.15, intensity 32
- hkl 3 3 1, 2θ 37.32, intensity 7
- hkl 4 4 0, 2θ 49.07, intensity 49
- hkl 6 2 2, 2θ 58.28, intensity 43
- hkl 4 4 4, 2θ 61.14, intensity 9
- hkl 8 0 0, 2θ 71.93, intensity 7
- hkl 6 6 2, 2θ 79.58, intensity 17
- hkl 8 4 0, 2θ 82.08, intensity 13

Structure:
Cell lengths 10.501, 10.501, 10.501 Å; angles 90.00, 90.00, 90.00 degrees
Space group Fd-3m (No. 227, origin choice 2)
Unique sites:
Tm 0.000 0.000 0.000 [16 per cell]
Zr 0.000 0.000 0.500 [16 per cell]
O 0.094 0.375 0.875 [48 per cell]
O 0.125 0.125 0.125 [8 per cell]

=====

[6]
This entry pairs a crystal structure of TbSm12Tm7 with its calculated PXRD pattern. Radiation: copper Kα. Structure: the PBE geometry in Alexandria.
Neutral-atom scattering factors, no anomalous dispersion.

Largest 10 diffraction maxima, in order of rising 2θ, 2θ = 10–90°:
- hkl 0 2 4, 2θ 28.07, intensity 16
- hkl 0 1 5, 2θ 29.08, intensity 28
- hkl 0 3 3, 2θ 30.71, intensity 43
- hkl 4 -3 1, 2θ 31.50, intensity 100
- hkl 3 -1 4, 2θ 31.85, intensity 47
- hkl 2 0 5, 2θ 32.76, intensity 21
- hkl 3 1 2, 2θ 32.98, intensity 57
- hkl 2 -1 6, 2θ 36.75, intensity 17
- hkl 3 -2 8, 2θ 51.07, intensity 14
- hkl 2 5 0, 2θ 55.13, intensity 17

Structure:
Cell lengths 12.0138, 12.0138, 16.0666 Å; angles 90.00, 90.00, 120.00 degrees
Space group R-3 (No. 148, hexagonal axes)
Unique sites:
Tb 0.0000 0.0000 0.0000 [3 per cell]
Sm 0.0216 0.4490 0.2220 [18 per cell]
Sm 0.0562 0.1886 0.2898 [18 per cell]
Tm 0.0000 0.0000 0.5000 [3 per cell]
Tm 0.0539 0.5874 0.5831 [18 per cell]

=====

[7]
This entry pairs a crystal structure of PaTaO5 with its calculated PXRD pattern. Radiation: copper Kα. Structure: the PBE geometry in Alexandria.
Neutral-atom scattering factors, no anomalous dispersion.

Largest 10 diffraction maxima, in order of rising 2θ, 2θ = 10–90°:
- hkl 2 0 0, 2θ 22.04, intensity 88
- hkl 1 1 -2, 2θ 26.91, intensity 100
- hkl 0 2 0, 2θ 27.26, intensity 45
- hkl 3 1 -2, 2θ 35.05, intensity 71
- hkl 2 2 0, 2θ 35.32, intensity 32
- hkl 4 0 0, 2θ 44.95, intensity 18
- hkl 1 3 -2, 2θ 47.96, intensity 19
- hkl 5 1 -2, 2θ 53.17, intensity 31
- hkl 4 2 0, 2θ 53.37, intensity 35
- hkl 4 2 -4, 2θ 60.40, intensity 18

Structure:
Cell lengths 8.932, 6.544, 7.684 Å; angles 90.00, 115.43, 90.00 degrees
Space group C2/c (No. 15)
Unique sites:
Pa 0.000 0.041 0.250 [4 per cell]
Ta 0.000 0.500 0.000 [4 per cell]
O 0.000 0.421 0.250 [4 per cell]
O 0.010 0.200 0.967 [8 per cell]
O 0.247 0.478 0.627 [8 per cell]

=====

[8]
This entry pairs a crystal structure of LaZr9O20 with its calculated PXRD pattern. Radiation: copper Kα. Structure: the PBE geometry in Alexandria.
Neutral-atom scattering factors, no anomalous dispersion.

Largest 10 diffraction maxima, in order of rising 2θ, 2θ = 10–90°:
- hkl 1 0 -2, 2θ 28.27, intensity 100
- hkl 1 2 2, 2θ 28.71, intensity 93
- hkl 2 0 1, 2θ 30.16, intensity 83
- hkl 0 2 -1, 2θ 30.27, intensity 83
- hkl 2 2 0, 2θ 33.56, intensity 34
- hkl 1 0 3, 2θ 34.17, intensity 32
- hkl -1 2 1, 2θ 34.37, intensity 33
- hkl 0 2 4, 2θ 46.99, intensity 32
- hkl 3 0 -1, 2θ 48.44, intensity 60
- hkl 2 -2 2, 2θ 51.45, intensity 30

Structure:
Cell lengths 6.427, 7.426, 8.531 Å; angles 74.77, 77.16, 70.84 degrees
Space group P1 (No. 1)
Unique sites:
La 0.000 0.000 0.000 [1 per cell]
Zr 0.197 0.310 0.605 [1 per cell]
Zr 0.203 0.817 0.603 [1 per cell]
Zr 0.387 0.104 0.219 [1 per cell]
Zr 0.417 0.615 0.210 [1 per cell]
Zr 0.586 0.912 0.809 [1 per cell]
Zr 0.607 0.430 0.796 [1 per cell]
Zr 0.792 0.703 0.417 [1 per cell]
Zr 0.805 0.213 0.402 [1 per cell]
Zr 0.979 0.501 0.011 [1 per cell]
O 0.022 0.206 0.169 [1 per cell]
O 0.133 0.561 0.419 [1 per cell]
O 0.150 0.651 0.091 [1 per cell]
O 0.181 0.135 0.443 [1 per cell]
O 0.239 0.986 0.750 [1 per cell]
O 0.317 0.517 0.687 [1 per cell]
O 0.346 0.353 0.005 [1 per cell]
O 0.397 0.918 0.052 [1 per cell]
O 0.408 0.791 0.372 [1 per cell]
O 0.517 0.312 0.281 [1 per cell]
O 0.535 0.158 0.602 [1 per cell]
O 0.596 0.728 0.644 [1 per cell]
O 0.622 0.585 0.965 [1 per cell]
O 0.668 0.132 0.880 [1 per cell]
O 0.723 0.954 0.238 [1 per cell]
O 0.771 0.543 0.242 [1 per cell]
O 0.813 0.387 0.559 [1 per cell]
O 0.919 0.912 0.494 [1 per cell]
O 0.928 0.774 0.828 [1 per cell]
O 0.980 0.344 0.829 [1 per cell]